This entry pairs a crystal structure of Ba4Ag with its calculated X-ray diffraction stick pattern. Radiation: Cu Kα X-rays. Structure: a DFT-relaxed cell (GGA-PBE, Alexandria).
Intensities are scaled so that the largest is 100.

The 10 most intense peaks (2θ = 10–90°), in order of rising 2θ:
Position (°2θ)  I (rel.)
23.1  16
24.9  100
32.1  35
38.6  20
38.7  10
41.7  26
45.5  11
46.6  12
62.0  10
62.6  14

Atomic structure:
```
data_Ba4Ag
_cell_length_a 9.3261
_cell_length_b 9.0024
_cell_length_c 11.1716
_cell_angle_alpha 53.77
_cell_angle_beta 51.14
_cell_angle_gamma 75.09
_space_group_name_H-M_alt 'P 1'
_space_group_IT_number 1
loop_
_space_group_symop_operation_xyz
'x,y,z'
loop_
_atom_site_label
_atom_site_type_symbol
_atom_site_fract_x
_atom_site_fract_y
_atom_site_fract_z
Ba1 Ba 0.2059 0.2941 0.9577
Ba2 Ba 0.2123 0.7872 0.4557
Ba3 Ba 0.2923 0.7077 0.0441
Ba4 Ba 0.2941 0.2059 0.5423
Ba5 Ba 0.7053 0.7943 0.4628
Ba6 Ba 0.7077 0.2923 0.9559
Ba7 Ba 0.7872 0.2123 0.5447
Ba8 Ba 0.7943 0.7053 0.0377
Ag1 Ag 0.2433 0.2433 0.2567
Ag2 Ag 0.9933 0.9933 0.0067
```

This entry pairs a crystal structure of BaAg11 with its calculated X-ray diffraction stick pattern. Radiation: Cu Kα X-rays. Structure: a DFT-relaxed cell (GGA-PBE, Alexandria).
Intensities are scaled so that the largest is 100.

The 10 most intense peaks (2θ = 10–90°), in order of rising 2θ:
Position (°2θ)  I (rel.)
30.4  33
34.1  94
34.9  78
36.2  38
39.3  27
39.6  36
41.0  100
42.4  50
62.0  31
73.7  17

Atomic structure:
```
data_BaAg11
_cell_length_a 8.9801
_cell_length_b 8.9801
_cell_length_c 8.9801
_cell_angle_alpha 100.35
_cell_angle_beta 100.35
_cell_angle_gamma 129.83
_space_group_name_H-M_alt 'P 1'
_space_group_IT_number 1
loop_
_space_group_symop_operation_xyz
'x,y,z'
loop_
_atom_site_label
_atom_site_type_symbol
_atom_site_fract_x
_atom_site_fract_y
_atom_site_fract_z
Ba1 Ba 0.3750 0.6250 0.7500
Ba2 Ba 0.6250 0.3750 0.2500
Ag1 Ag 0.0000 0.0000 0.0000
Ag2 Ag 0.0000 0.0000 0.5000
Ag3 Ag 0.0000 0.5000 0.0000
Ag4 Ag 0.1250 0.8750 0.2500
Ag5 Ag 0.1400 0.5601 0.3347
Ag6 Ag 0.1400 0.8053 0.5800
Ag7 Ag 0.1947 0.2746 0.3347
Ag8 Ag 0.1947 0.8600 0.9200
Ag9 Ag 0.2746 0.1947 0.8347
Ag10 Ag 0.2746 0.4399 0.0800
Ag11 Ag 0.4399 0.2746 0.5800
Ag12 Ag 0.4399 0.8600 0.1653
Ag13 Ag 0.5000 0.0000 0.5000
Ag14 Ag 0.5601 0.1400 0.8347
Ag15 Ag 0.5601 0.7254 0.4200
Ag16 Ag 0.7254 0.5601 0.9200
Ag17 Ag 0.7254 0.8053 0.1653
Ag18 Ag 0.8053 0.1400 0.0800
Ag19 Ag 0.8053 0.7254 0.6653
Ag20 Ag 0.8600 0.1947 0.4200
Ag21 Ag 0.8600 0.4399 0.6653
Ag22 Ag 0.8750 0.1250 0.7500
```

This entry pairs a crystal structure of BaBeAg with its calculated X-ray diffraction stick pattern. Radiation: Cu Kα X-rays. Structure: a DFT-relaxed cell (GGA-PBE, Alexandria).
Intensities are scaled so that the largest is 100.

The 10 most intense peaks (2θ = 10–90°), in order of rising 2θ:
Position (°2θ)  I (rel.)
23.3  28
29.8  100
37.2  13
40.9  29
44.4  10
51.5  21
56.5  22
62.6  12
67.8  18
86.4  7

Atomic structure:
```
data_BaBeAg
_cell_length_a 4.4085
_cell_length_b 4.4085
_cell_length_c 4.8294
_cell_angle_alpha 90.00
_cell_angle_beta 90.00
_cell_angle_gamma 120.00
_space_group_name_H-M_alt 'P 1'
_space_group_IT_number 1
loop_
_space_group_symop_operation_xyz
'x,y,z'
loop_
_atom_site_label
_atom_site_type_symbol
_atom_site_fract_x
_atom_site_fract_y
_atom_site_fract_z
Ba1 Ba 0.0000 0.0000 0.0000
Be1 Be 0.6667 0.3333 0.5000
Ag1 Ag 0.3333 0.6667 0.5000
```

This entry pairs a crystal structure of Ba2AgBi3 with its calculated X-ray diffraction stick pattern. Radiation: Cu Kα X-rays. Structure: a DFT-relaxed cell (GGA-PBE, Alexandria).
Intensities are scaled so that the largest is 100.

The 10 most intense peaks (2θ = 10–90°), in order of rising 2θ:
Position (°2θ)  I (rel.)
18.2  34
26.7  46
27.0  100
34.3  59
34.9  31
36.8  27
39.0  17
44.5  24
51.2  38
51.6  21

Atomic structure:
```
data_Ba2AgBi3
_cell_length_a 4.8860
_cell_length_b 5.1438
_cell_length_c 9.1193
_cell_angle_alpha 90.00
_cell_angle_beta 90.00
_cell_angle_gamma 90.00
_space_group_name_H-M_alt 'P 1'
_space_group_IT_number 1
loop_
_space_group_symop_operation_xyz
'x,y,z'
loop_
_atom_site_label
_atom_site_type_symbol
_atom_site_fract_x
_atom_site_fract_y
_atom_site_fract_z
Ba1 Ba 0.0000 0.0000 0.0000
Ba2 Ba 0.0000 0.5000 0.4910
Ag1 Ag 0.5000 0.5000 0.8182
Bi1 Bi 0.5000 0.0000 0.3345
Bi2 Bi 0.5000 0.0000 0.6841
Bi3 Bi 0.5000 0.5000 0.1328
```

This entry pairs a crystal structure of BaAg4Bi with its calculated X-ray diffraction stick pattern. Radiation: Cu Kα X-rays. Structure: a DFT-relaxed cell (GGA-PBE, Alexandria).
Intensities are scaled so that the largest is 100.

The 10 most intense peaks (2θ = 10–90°), in order of rising 2θ:
Position (°2θ)  I (rel.)
30.2  40
35.6  100
37.2  28
53.7  16
57.2  33
62.9  26
71.3  7
74.4  11
75.4  10
87.2  9

Atomic structure:
```
data_BaAg4Bi
_cell_length_a 5.9134
_cell_length_b 5.9134
_cell_length_c 5.9134
_cell_angle_alpha 60.00
_cell_angle_beta 60.00
_cell_angle_gamma 60.00
_space_group_name_H-M_alt 'P 1'
_space_group_IT_number 1
loop_
_space_group_symop_operation_xyz
'x,y,z'
loop_
_atom_site_label
_atom_site_type_symbol
_atom_site_fract_x
_atom_site_fract_y
_atom_site_fract_z
Ba1 Ba 0.0000 0.0000 0.0000
Ag1 Ag 0.3752 0.3752 0.3752
Ag2 Ag 0.3752 0.3752 0.8743
Ag3 Ag 0.3752 0.8743 0.3752
Ag4 Ag 0.8743 0.3752 0.3752
Bi1 Bi 0.7500 0.7500 0.7500
```

This entry pairs a crystal structure of BaAg2BiCl8 with its calculated X-ray diffraction stick pattern. Radiation: Cu Kα X-rays. Structure: a DFT-relaxed cell (GGA-PBE, Alexandria).
Intensities are scaled so that the largest is 100.

The 10 most intense peaks (2θ = 10–90°), in order of rising 2θ:
Position (°2θ)  I (rel.)
14.2  12
22.0  100
25.1  14
25.7  16
36.2  37
36.6  21
42.4  22
43.1  45
44.9  15
57.3  13

Atomic structure:
```
data_BaAg2BiCl8
_cell_length_a 8.6256
_cell_length_b 8.6256
_cell_length_c 8.6256
_cell_angle_alpha 132.53
_cell_angle_beta 132.53
_cell_angle_gamma 69.39
_space_group_name_H-M_alt 'P 1'
_space_group_IT_number 1
loop_
_space_group_symop_operation_xyz
'x,y,z'
loop_
_atom_site_label
_atom_site_type_symbol
_atom_site_fract_x
_atom_site_fract_y
_atom_site_fract_z
Ba1 Ba 0.0000 0.0000 0.0000
Ag1 Ag 0.5000 0.5000 0.0000
Ag2 Ag 0.7500 0.2500 0.5000
Bi1 Bi 0.2500 0.7500 0.5000
Cl1 Cl 0.2707 0.7084 0.1469
Cl2 Cl 0.2916 0.4385 0.5624
Cl3 Cl 0.3956 0.0020 0.0315
Cl4 Cl 0.5615 0.1239 0.8531
Cl5 Cl 0.6359 0.6044 0.6064
Cl6 Cl 0.8761 0.7293 0.4376
Cl7 Cl 0.9705 0.3641 0.9685
Cl8 Cl 0.9980 0.0295 0.3936
```

This entry pairs a crystal structure of Ba2Ag3HgBi4 with its calculated X-ray diffraction stick pattern. Radiation: Cu Kα X-rays. Structure: a DFT-relaxed cell (GGA-PBE, Alexandria).
Intensities are scaled so that the largest is 100.

The 10 most intense peaks (2θ = 10–90°), in order of rising 2θ:
Position (°2θ)  I (rel.)
28.2  38
29.0  100
35.5  69
38.9  47
41.2  23
45.9  20
51.0  24
55.5  20
59.7  26
66.0  20

Atomic structure:
```
data_Ba2Ag3HgBi4
_cell_length_a 5.0630
_cell_length_b 5.0630
_cell_length_c 12.1450
_cell_angle_alpha 90.00
_cell_angle_beta 90.00
_cell_angle_gamma 90.00
_space_group_name_H-M_alt 'P 1'
_space_group_IT_number 1
loop_
_space_group_symop_operation_xyz
'x,y,z'
loop_
_atom_site_label
_atom_site_type_symbol
_atom_site_fract_x
_atom_site_fract_y
_atom_site_fract_z
Ba1 Ba 0.0000 0.5000 0.2470
Ba2 Ba 0.5000 0.0000 0.7530
Ag1 Ag 0.0000 0.0000 0.0000
Ag2 Ag 0.0000 0.5000 0.6300
Ag3 Ag 0.5000 0.0000 0.3700
Hg1 Hg 0.5000 0.5000 0.0000
Bi1 Bi 0.0000 0.0000 0.5000
Bi2 Bi 0.0000 0.5000 0.8629
Bi3 Bi 0.5000 0.0000 0.1371
Bi4 Bi 0.5000 0.5000 0.5000
```

This entry pairs a crystal structure of Ba2InAg3Bi4 with its calculated X-ray diffraction stick pattern. Radiation: Cu Kα X-rays. Structure: a DFT-relaxed cell (GGA-PBE, Alexandria).
Intensities are scaled so that the largest is 100.

The 10 most intense peaks (2θ = 10–90°), in order of rising 2θ:
Position (°2θ)  I (rel.)
28.2  45
28.7  100
35.0  75
38.9  48
41.4  26
45.6  24
50.3  27
55.3  22
59.0  27
65.4  21

Atomic structure:
```
data_Ba2InAg3Bi4
_cell_length_a 5.1263
_cell_length_b 5.1263
_cell_length_c 12.0387
_cell_angle_alpha 90.00
_cell_angle_beta 90.00
_cell_angle_gamma 90.00
_space_group_name_H-M_alt 'P 1'
_space_group_IT_number 1
loop_
_space_group_symop_operation_xyz
'x,y,z'
loop_
_atom_site_label
_atom_site_type_symbol
_atom_site_fract_x
_atom_site_fract_y
_atom_site_fract_z
Ba1 Ba 0.0000 0.5000 0.2454
Ba2 Ba 0.5000 0.0000 0.7546
In1 In 0.0000 0.0000 0.5000
Ag1 Ag 0.0000 0.5000 0.8734
Ag2 Ag 0.5000 0.0000 0.1266
Ag3 Ag 0.5000 0.5000 0.5000
Bi1 Bi 0.0000 0.0000 0.0000
Bi2 Bi 0.0000 0.5000 0.6371
Bi3 Bi 0.5000 0.0000 0.3629
Bi4 Bi 0.5000 0.5000 0.0000
```